Calculated X-ray powder pattern of BaSrTi2O6 for λ = 1.5418 Å (Cu Kα), from a crystal structure in the Materials Project, relaxed with GGA-PBE.
Peak positions follow from Bragg's law for the DFT cell and can differ from measured ones.

Principal peaks in the range 5 to 70 degrees two-theta, by angle:
2θ (°), d [Å], Rel. int., h k l
11.09, 7.975, 31, 0 0 1
22.28, 3.990, 112, 0 0 2
24.95, 3.569, 33, 1 0 1
31.72, 2.821, 1000, 1 1 0
33.70, 2.660, 21, 0 0 3
39.10, 2.304, 235, 1 1 2
45.47, 1.995, 373, 2 0 0
46.95, 1.935, 9, 1 1 3
51.20, 1.784, 65, 1 0 4
52.54, 1.742, 9, 2 1 1
56.50, 1.629, 381, 1 1 4
66.26, 1.411, 217, 2 2 0

Structural model:
Cell lengths 3.9910, 3.9910, 7.9750 Å; angles 90.00, 90.00, 90.00 degrees
Space group P4/mmm (No. 123)
Unique sites:
1 Ba 0.0000 0.0000 0.0000 x1
2 Sr 0.0000 0.0000 0.5000 x1
3 Ti 0.5000 0.5000 0.2553 x2
4 O 0.0000 0.5000 0.2587 x4
5 O 0.5000 0.5000 0.0000 x1
6 O 0.5000 0.5000 0.5000 x1

=====

Calculated X-ray powder pattern of Ba2SrTi3O9 for λ = 1.5418 Å (Cu Kα), from a crystal structure in the Materials Project, relaxed with GGA-PBE.
Peak positions follow from Bragg's law for the DFT cell and can differ from measured ones.

Principal peaks in the range 5 to 70 degrees two-theta, by angle:
2θ (°), d [Å], Rel. int., h k l
21.69, 4.098, 71, 0 0 1
22.29, 3.988, 133, 1 3 0
31.30, 2.858, 1000, 1 3 1
31.73, 2.820, 480, 2 0 0
38.76, 2.323, 358, 2 0 1
44.20, 2.049, 184, 0 0 2
45.48, 1.994, 349, 2 6 0
55.43, 1.658, 192, 2 0 2
56.25, 1.635, 372, 3 3 1
65.29, 1.429, 207, 2 6 2
66.23, 1.411, 51, 4 0 0
66.34, 1.409, 51, 0 12 0

Structural model:
Cell lengths 5.6444, 16.9095, 4.0980 Å; angles 90.00, 90.00, 90.00 degrees
Space group Cmm2 (No. 35)
Unique sites:
1 Ba 0.0000 0.1670 0.0000 x4
2 Sr 0.0000 0.5000 0.0098 x2
3 Ti 0.0000 0.0000 0.5193 x2
4 Ti 0.0000 0.3353 0.5188 x4
5 O 0.0000 0.0000 0.9694 x2
6 O 0.0000 0.3374 0.9695 x4
7 O 0.2470 0.4183 0.4780 x8
8 O 0.2500 0.2500 0.4832 x4

=====

Calculated X-ray powder pattern of BaSrTi4O12 for λ = 1.5418 Å (Cu Kα), from a crystal structure in the Materials Project, relaxed with GGA-PBE.
Peak positions follow from Bragg's law for the DFT cell and can differ from measured ones.

Principal peaks in the range 5 to 70 degrees two-theta, by angle:
2θ (°), d [Å], Rel. int., h k l
15.89, 5.576, 25, 1 0 0
19.50, 4.552, 951, 1 0 1
22.56, 3.942, 25, 1 1 0
25.26, 3.526, 22, 1 1 1
32.11, 2.787, 1000, 2 0 0
37.85, 2.377, 524, 2 1 1
39.60, 2.276, 161, 2 0 2
46.05, 1.971, 529, 2 2 0
50.46, 1.809, 227, 2 1 3
57.25, 1.609, 380, 2 0 4
61.08, 1.517, 171, 3 0 3
67.17, 1.394, 294, 4 0 0

Structural model:
Cell lengths 5.5758, 5.5758, 7.8796 Å; angles 90.00, 90.00, 90.00 degrees
Space group P4/mmm (No. 123)
Unique sites:
1 Ba 0.0000 0.0000 0.0000 x1
2 Sr 0.5000 0.5000 0.5000 x1
3 Ti 0.0000 0.5000 0.2520 x4
4 O 0.0000 0.5000 0.0000 x2
5 O 0.0000 0.5000 0.5000 x2
6 O 0.2527 0.2527 0.2548 x8

=====

Calculated X-ray powder pattern of BaSr7Ti8O24 for λ = 1.5418 Å (Cu Kα), from a crystal structure in the Materials Project, relaxed with GGA-PBE.
Peak positions follow from Bragg's law for the DFT cell and can differ from measured ones.

Principal peaks in the range 5 to 70 degrees two-theta, by angle:
2θ (°), d [Å], Rel. int., h k l
11.18, 7.916, 7, 1 0 0
15.83, 5.598, 9, 1 1 0
22.46, 3.958, 55, 2 0 0
25.16, 3.540, 8, 2 1 0
27.60, 3.232, 6, 2 1 1
31.98, 2.799, 1000, 2 2 0
33.97, 2.639, 5, 3 0 0
39.43, 2.285, 219, 2 2 2
45.85, 1.979, 401, 4 0 0
51.64, 1.770, 38, 4 2 0
56.99, 1.616, 379, 4 2 2
66.86, 1.399, 230, 4 4 0

Structural model:
Cell lengths 7.9161, 7.9161, 7.9161 Å; angles 90.00, 90.00, 90.00 degrees
Space group Pm-3m (No. 221)
Unique sites:
1 Ba 0.0000 0.0000 0.0000 x1
2 Sr 0.0000 0.0000 0.5000 x3
3 Sr 0.0000 0.5000 0.5000 x3
4 Sr 0.5000 0.5000 0.5000 x1
5 Ti 0.2513 0.2513 0.2513 x8
6 O 0.0000 0.2537 0.2537 x12
7 O 0.2509 0.2509 0.5000 x12